1.
The following is a theoretical powder diffractogram of CaMg2Zn9. It was derived from the GGA-PBE geometry in Alexandria, using copper Kα.

Peak list (12 most intense, 15° ≤ 2θ ≤ 90°, most intense first)
2θ/deg, I_rel
40.2, 100
19.7, 50
43.4, 46
42.3, 30
46.9, 27
65.0, 22
39.6, 22
71.6, 21
86.8, 20
43.6, 14
42.0, 11
34.0, 10

abc: 5.2746 5.2746 25.6606
angles: 90.00 90.00 120.00
Space group R-3m (No. 166, hexagonal axes)
Asymmetric unit:
Ca1 0.0000 0.0000 0.0000
Mg1 0.0000 0.0000 0.1424
Zn1 0.0000 0.0000 0.3337
Zn2 0.0000 0.0000 0.5000
Zn3 0.0048 0.5024 0.9151

2.
The following is a theoretical powder diffractogram of CaMg3Zn3. It was derived from the GGA-PBE geometry in Alexandria, using copper Kα.

Peak list (12 most intense, 15° ≤ 2θ ≤ 90°, most intense first)
2θ/deg, I_rel
37.7, 100
37.8, 35
68.1, 18
32.5, 17
24.5, 15
50.7, 14
30.9, 10
32.6, 9
28.3, 9
41.8, 9
71.5, 8
71.4, 7

abc: 8.3814 4.7690 8.4073
angles: 90.00 119.88 90.00
Space group P2_1/m (No. 11)
Asymmetric unit:
Ca1 0.1657 0.2500 0.3327
Mg1 0.2571 0.2500 0.7706
Mg2 0.2723 0.7500 0.0144
Mg3 0.4863 0.7500 0.7572
Zn1 0.0302 0.2500 0.9260
Zn2 0.1046 0.7500 0.5292
Zn3 0.4255 0.7500 0.3958

3.
The following is a theoretical powder diffractogram of Ca2Mg2Zn. It was derived from the GGA-PBE geometry in Alexandria, using copper Kα.

Peak list (12 most intense, 15° ≤ 2θ ≤ 90°, most intense first)
2θ/deg, I_rel
34.4, 100
37.2, 96
34.7, 81
31.8, 70
31.7, 66
18.0, 64
31.3, 61
27.6, 60
36.5, 45
44.0, 43
28.7, 40
16.8, 37

abc: 11.1764 6.7002 7.8087
angles: 90.00 109.40 90.00
Space group C2/c (No. 15)
Asymmetric unit:
Ca1 0.1612 0.0927 0.1402
Mg1 0.0997 0.3810 0.4602
Zn1 0.0000 0.2706 0.7500

4.
The following is a theoretical powder diffractogram of Ca2Mg3Zn. It was derived from the GGA-PBE geometry in Alexandria, using copper Kα.

Peak list (12 most intense, 15° ≤ 2θ ≤ 90°, most intense first)
2θ/deg, I_rel
33.5, 100
33.1, 50
33.7, 36
39.0, 32
20.5, 27
26.6, 24
29.4, 22
16.6, 19
49.4, 19
62.2, 17
41.7, 16
64.6, 14

abc: 15.9458 5.6763 7.3767
angles: 90.00 90.00 90.00
Space group Cmcm (No. 63)
Asymmetric unit:
Ca1 0.1432 0.0000 0.0000
Mg1 0.0000 0.3183 0.2500
Mg2 0.1785 0.4878 0.7500
Zn1 0.0000 0.2018 0.7500

5.
The following is a theoretical powder diffractogram of Ca7Mn. It was derived from the GGA-PBE geometry in Alexandria, using copper Kα.

Peak list (9 most intense, 15° ≤ 2θ ≤ 90°, most intense first)
2θ/deg, I_rel
29.0, 100
33.6, 50
57.3, 37
48.3, 33
78.1, 14
80.6, 12
60.1, 11
70.7, 5
27.7, 1

abc: 10.6627 10.6627 10.6627
angles: 90.00 90.00 90.00
Space group Fm-3m (No. 225)
Asymmetric unit:
Ca1 0.0000 0.0000 0.0000
Ca2 0.0000 0.2500 0.2500
Mn1 0.0000 0.0000 0.5000

6.
The following is a theoretical powder diffractogram of CaMn. It was derived from the GGA-PBE geometry in Alexandria, using copper Kα.

Peak list (12 most intense, 15° ≤ 2θ ≤ 90°, most intense first)
2θ/deg, I_rel
32.1, 100
49.1, 48
35.4, 44
32.9, 31
63.8, 31
39.1, 29
44.4, 20
29.8, 18
48.4, 17
61.4, 15
69.6, 11
67.7, 10

abc: 3.7621 6.4557 16.3391
angles: 90.00 90.00 90.00
Space group Fmmm (No. 69)
Asymmetric unit:
Ca1 0.0000 0.0000 0.1365
Mn1 0.0000 0.1671 0.5000

7.
The following is a theoretical powder diffractogram of CaMn4Mo. It was derived from the GGA-PBE geometry in Alexandria, using copper Kα.

Peak list (12 most intense, 15° ≤ 2θ ≤ 90°, most intense first)
2θ/deg, I_rel
43.3, 100
36.7, 35
45.3, 33
70.6, 28
77.9, 22
66.0, 11
22.2, 8
25.7, 7
89.3, 5
59.6, 3
52.8, 2
58.0, 1

abc: 6.9350 6.9350 6.9350
angles: 90.00 90.00 90.00
Space group F-43m (No. 216)
Asymmetric unit:
Ca1 0.0000 0.0000 0.0000
Mn1 0.1246 0.1246 0.6246
Mo1 0.2500 0.2500 0.2500